1.
LiCoC2O6: simulated powder diffractogram (λ = 1.5418 Å (Cu Kα)), based on a cell relaxed with PBE+U.
Intensities are scaled so that the largest is 100.

Most intense lines, 2θ from 10° to 90°, by angle:
Position (°2θ)  intensity  h k l
17.5  59  1 0 0
19.5  43  0 1 -2
19.9  100  1 1 2
22.2  25  1 1 -2
27.5  11  1 1 4
31.6  22  0 2 0
31.7  18  2 1 0
33.7  13  0 2 -2
37.0  17  2 1 4
44.0  12  1 3 2
47.6  14  0 0 8
54.1  10  2 2 -6

Atomic structure:
```
data_LiCoC2O6
_cell_length_a 5.701
_cell_length_b 6.346
_cell_length_c 15.409
_cell_angle_alpha 86.57
_cell_angle_beta 82.33
_cell_angle_gamma 63.36
_space_group_name_H-M_alt 'P 1'
_space_group_IT_number 1
loop_
_space_group_symop_operation_xyz
'x,y,z'
loop_
_atom_site_label
_atom_site_type_symbol
_atom_site_fract_x
_atom_site_fract_y
_atom_site_fract_z
Li1 Li 0.000 0.000 0.000
Li2 Li 0.001 0.000 0.501
Li3 Li 0.152 0.696 0.250
Li4 Li 0.153 0.694 0.750
Co1 Co 0.441 0.132 0.832
Co2 Co 0.441 0.134 0.332
Co3 Co 0.726 0.562 0.082
Co4 Co 0.728 0.561 0.582
C1 C 0.099 0.527 0.940
C2 C 0.103 0.528 0.442
C3 C 0.535 0.985 0.478
C4 C 0.535 0.987 0.978
C5 C 0.672 0.709 0.728
C6 C 0.672 0.710 0.228
C7 C 0.780 0.168 0.191
C8 C 0.782 0.166 0.691
O1 O 0.170 0.646 0.982
O2 O 0.173 0.646 0.484
O3 O 0.209 0.452 0.858
O4 O 0.215 0.454 0.360
O5 O 0.321 0.031 0.943
O6 O 0.321 0.032 0.442
O7 O 0.503 0.666 0.192
O8 O 0.504 0.663 0.693
O9 O 0.531 0.227 0.220
O10 O 0.533 0.224 0.720
O11 O 0.569 0.885 0.553
O12 O 0.572 0.887 0.053
O13 O 0.608 0.808 0.803
O14 O 0.609 0.810 0.303
O15 O 0.693 0.058 0.933
O16 O 0.695 0.055 0.434
O17 O 0.817 0.242 0.109
O18 O 0.821 0.240 0.609
O19 O 0.902 0.638 0.184
O20 O 0.902 0.639 0.684
O21 O 0.908 0.470 0.970
O22 O 0.912 0.470 0.470
O23 O 0.970 0.049 0.233
O24 O 0.971 0.048 0.734
```



2.
LiCoC2O6: simulated powder diffractogram (λ = 1.5418 Å (Cu Kα)), based on a cell relaxed with PBE+U.
Intensities are scaled so that the largest is 100.

Most intense lines, 2θ from 10° to 90°, by angle:
Position (°2θ)  intensity  h k l
18.8  66  1 1 0
19.2  100  1 1 -1
19.7  49  0 2 1
24.2  20  1 1 1
25.2  16  1 1 -2
32.7  16  0 4 0
34.2  22  2 0 0
34.7  23  0 4 1
35.1  20  2 0 -2
36.7  13  2 2 -1
45.1  10  1 5 -1
51.4  16  0 6 1

Atomic structure:
```
data_LiCoC2O6
_cell_length_a 5.477
_cell_length_b 10.940
_cell_length_c 8.345
_cell_angle_alpha 90.00
_cell_angle_beta 106.68
_cell_angle_gamma 90.00
_space_group_name_H-M_alt 'C 1 c 1'
_space_group_IT_number 9
loop_
_space_group_symop_operation_xyz
'x,y,z'
'x,-y,z+1/2'
'x+1/2,y+1/2,z'
'x+1/2,-y+1/2,z+1/2'
loop_
_atom_site_label
_atom_site_type_symbol
_atom_site_fract_x
_atom_site_fract_y
_atom_site_fract_z
Li1 Li 0.000 0.057 0.000
Co1 Co 0.002 0.366 0.858
C1 C 0.066 0.433 0.572
C2 C 0.354 0.329 0.139
O1 O 0.016 0.471 0.415
O2 O 0.104 0.319 0.085
O3 O 0.289 0.410 0.661
O4 O 0.368 0.085 0.128
O5 O 0.454 0.298 0.301
O6 O 0.483 0.367 0.050
```



3.
LiCo2C4O12: simulated powder diffractogram (λ = 1.5418 Å (Cu Kα)), based on a cell relaxed with PBE+U.
Intensities are scaled so that the largest is 100.

Most intense lines, 2θ from 10° to 90°, by angle:
Position (°2θ)  intensity  h k l
18.3  100  1 -1 0
18.8  27  0 1 1
21.6  18  1 0 -1
21.8  24  1 0 1
21.9  6  -1 1 1
28.9  8  0 2 0
31.0  12  0 2 -1
31.6  10  0 2 1
36.0  12  2 -1 1
40.4  10  1 -3 0
45.4  6  0 3 -1
52.3  8  3 -1 0

Atomic structure:
```
data_LiCo2C4O12
_cell_length_a 5.291
_cell_length_b 6.693
_cell_length_c 7.531
_cell_angle_alpha 91.26
_cell_angle_beta 90.26
_cell_angle_gamma 112.73
_space_group_name_H-M_alt 'P 1'
_space_group_IT_number 1
loop_
_space_group_symop_operation_xyz
'x,y,z'
loop_
_atom_site_label
_atom_site_type_symbol
_atom_site_fract_x
_atom_site_fract_y
_atom_site_fract_z
Li1 Li 0.000 0.000 0.000
Co1 Co 0.204 0.807 0.567
Co2 Co 0.705 0.331 0.065
C1 C 0.450 0.181 0.321
C2 C 0.469 0.935 0.829
C3 C 0.952 0.431 0.801
C4 C 0.965 0.688 0.301
O1 O 0.045 0.369 0.944
O2 O 0.086 0.491 0.663
O3 O 0.211 0.914 0.817
O4 O 0.218 0.711 0.322
O5 O 0.327 0.125 0.463
O6 O 0.338 0.209 0.170
O7 O 0.556 0.879 0.683
O8 O 0.619 0.003 0.968
O9 O 0.701 0.423 0.827
O10 O 0.715 0.228 0.299
O11 O 0.835 0.633 0.149
O12 O 0.856 0.733 0.441
```